[1]
The following is a computed powder diffraction line list of CoReOsSeO. It was derived from the PBE+U geometry in Alexandria, using CuKα.
Lines closer than 0.1° are merged.

Largest 10 diffraction maxima, by intensity, 10° ≤ 2θ ≤ 90°:
hkl 0 0 2, d = 7.292 Å, I = 1000
hkl 1 1 1, d = 2.212 Å, I = 526
hkl 0 1 5, d = 2.277 Å, I = 448
hkl 0 1 3, d = 2.916 Å, I = 244
hkl 1 1 3, d = 2.033 Å, I = 195
hkl 1 0 6, d = 1.845 Å, I = 169
hkl 1 0 4, d = 2.238 Å, I = 166
hkl 0 2 0, d = 1.822 Å, I = 166
hkl 1 0 2, d = 2.643 Å, I = 144
hkl 2 1 5, d = 1.204 Å, I = 118

a = 2.8355 Å, b = 3.6445 Å, c = 14.5834 Å
α = 90.00°, β = 90.00°, γ = 90.00°
Space group Amm2 (No. 38)
Asymmetric unit:
Co 0.0000 0.0000 0.0000
Re 0.5000 0.0000 0.6161
Os 0.0000 0.0000 0.2001
Se 0.0000 0.0000 0.8221
O 0.5000 0.0000 0.4889



[2]
The following is a computed powder diffraction line list of CoReOsSeO. It was derived from the PBE+U geometry in Alexandria, using CuKα.
Lines closer than 0.1° are merged.

Largest 10 diffraction maxima, by intensity, 10° ≤ 2θ ≤ 90°:
hkl 0 0 1, d = 8.492 Å, I = 1000
hkl 0 1 2, d = 2.500 Å, I = 550
hkl 1 1 1, d = 2.023 Å, I = 274
hkl 1 0 2, d = 2.348 Å, I = 220
hkl 1 0 1, d = 2.675 Å, I = 175
hkl 1 0 4, d = 1.696 Å, I = 172
hkl 1 1 0, d = 2.083 Å, I = 171
hkl 1 0 3, d = 1.997 Å, I = 157
hkl 1 1 2, d = 1.870 Å, I = 150
hkl 0 1 3, d = 2.088 Å, I = 129

a = 2.8180 Å, b = 3.0936 Å, c = 8.4922 Å
α = 90.00°, β = 90.00°, γ = 90.00°
Space group Pmm2 (No. 25)
Asymmetric unit:
Co 0.0000 0.0000 0.0000
Re 0.5000 0.5000 0.6727
Os 0.0000 0.0000 0.4920
Se 0.0000 0.5000 0.2399
O 0.0000 0.5000 0.8543



[3]
The following is a computed powder diffraction line list of SrCoOsO6. It was derived from the PBE+U geometry in Alexandria, using CuKα.
Lines closer than 0.1° are merged.

Largest 10 diffraction maxima, by intensity, 10° ≤ 2θ ≤ 90°:
hkl 1 0 1, d = 3.411 Å, I = 1000
hkl 2 -1 2, d = 1.848 Å, I = 409
hkl 1 1 0, d = 2.556 Å, I = 333
hkl 0 0 1, d = 5.350 Å, I = 318
hkl 1 0 0, d = 4.428 Å, I = 223
hkl 3 -1 1, d = 1.597 Å, I = 218
hkl 2 0 1, d = 2.046 Å, I = 211
hkl 2 -1 1, d = 2.307 Å, I = 154
hkl 1 0 3, d = 1.654 Å, I = 110
hkl 3 0 0, d = 1.476 Å, I = 108

a = 5.1127 Å, b = 5.1127 Å, c = 5.3503 Å
α = 90.00°, β = 90.00°, γ = 120.00°
Space group P312 (No. 149)
Asymmetric unit:
Sr 0.0000 0.0000 0.0000
Co 0.3333 0.6667 0.5000
Os 0.6667 0.3333 0.5000
O 0.0009 0.3877 0.6978



[4]
The following is a computed powder diffraction line list of VCoOsO6. It was derived from the PBE+U geometry in Alexandria, using CuKα.
Lines closer than 0.1° are merged.

Largest 10 diffraction maxima, by intensity, 10° ≤ 2θ ≤ 90°:
hkl 1 0 2, d = 3.028 Å, I = 1000
hkl 1 0 1, d = 3.770 Å, I = 703
hkl 2 -1 4, d = 1.625 Å, I = 618
hkl 1 1 0, d = 2.409 Å, I = 505
hkl 1 1 2, d = 2.113 Å, I = 413
hkl 0 0 2, d = 4.403 Å, I = 383
hkl 3 0 0, d = 1.390 Å, I = 281
hkl 2 0 2, d = 1.885 Å, I = 249
hkl 1 0 3, d = 2.401 Å, I = 226
hkl 3 -1 2, d = 1.484 Å, I = 222

a = 4.8171 Å, b = 4.8171 Å, c = 8.8066 Å
α = 90.00°, β = 90.00°, γ = 120.00°
Space group P-31c (No. 163)
Asymmetric unit:
V 0.3333 0.6667 0.2500
Co 0.0000 0.0000 0.0000
Os 0.3333 0.6667 0.7500
O 0.0020 0.3313 0.1240



[5]
The following is a computed powder diffraction line list of CoP2O2. It was derived from the PBE+U geometry in Alexandria, using CuKα.
Lines closer than 0.1° are merged.

Largest 10 diffraction maxima, by intensity, 10° ≤ 2θ ≤ 90°:
hkl 0 0 2, d = 2.492 Å, I = 1000
hkl 1 1 1, d = 2.159 Å, I = 934
hkl 1 0 1, d = 2.802 Å, I = 888
hkl 1 1 0, d = 2.396 Å, I = 591
hkl 2 0 0, d = 1.694 Å, I = 539
hkl 2 0 2, d = 1.401 Å, I = 535
hkl 1 1 2, d = 1.727 Å, I = 436
hkl 2 1 1, d = 1.450 Å, I = 206
hkl 1 1 3, d = 1.365 Å, I = 168
hkl 0 0 1, d = 4.985 Å, I = 166

a = 3.3878 Å, b = 3.3878 Å, c = 4.9848 Å
α = 90.00°, β = 90.00°, γ = 90.00°
Space group P4/mmm (No. 123)
Asymmetric unit:
Co 0.0000 0.0000 0.0000
P 0.5000 0.5000 0.0000
P 0.5000 0.5000 0.5000
O 0.0000 0.5000 0.5000



[6]
The following is a computed powder diffraction line list of Co2P3O10. It was derived from the PBE+U geometry in Alexandria, using CuKα.
Lines closer than 0.1° are merged.

Largest 10 diffraction maxima, by intensity, 10° ≤ 2θ ≤ 90°:
hkl -1 1 1, d = 5.738 Å, I = 1000
hkl 0 1 -1, d = 6.545 Å, I = 626
hkl 2 0 0, d = 3.214 Å, I = 492
hkl 0 2 -2, d = 3.273 Å, I = 490
hkl 1 0 0, d = 6.427 Å, I = 467
hkl 0 1 -2, d = 4.270 Å, I = 311
hkl 1 0 1, d = 4.290 Å, I = 299
hkl -1 2 1, d = 3.588 Å, I = 298
hkl 1 0 -2, d = 4.659 Å, I = 288
hkl 1 -1 1, d = 4.758 Å, I = 250

a = 7.7970 Å, b = 8.1754 Å, c = 9.6398 Å
α = 96.28°, β = 111.88°, γ = 112.52°
Space group P-1 (No. 2)
Asymmetric unit:
Co 0.1778 0.2381 0.4461
Co 0.2938 0.7046 0.0290
P 0.1407 0.5332 0.2605
P 0.1636 0.8956 0.2434
P 0.2259 0.1374 0.7633
O 0.0816 0.1712 0.8402
O 0.1004 0.5810 0.8244
O 0.1232 0.9335 0.6764
O 0.1903 0.7444 0.3321
O 0.2259 0.8815 0.1119
O 0.2302 0.5340 0.1423
O 0.2395 0.4745 0.3988
O 0.2609 0.2722 0.6687
O 0.2808 0.0805 0.3645
O 0.4292 0.1927 0.9145



[7]
The following is a computed powder diffraction line list of Co3P4O16. It was derived from the PBE+U geometry in Alexandria, using CuKα.
Lines closer than 0.1° are merged.

Largest 10 diffraction maxima, by intensity, 10° ≤ 2θ ≤ 90°:
hkl 0 1 1, d = 5.205 Å, I = 1000
hkl 0 1 -1, d = 5.831 Å, I = 991
hkl 0 2 -1, d = 3.638 Å, I = 785
hkl 1 1 1, d = 3.488 Å, I = 624
hkl 0 1 0, d = 7.746 Å, I = 537
hkl 1 1 0, d = 4.143 Å, I = 498
hkl -1 1 1, d = 3.703 Å, I = 456
hkl 0 2 1, d = 3.323 Å, I = 442
hkl 2 0 0, d = 2.479 Å, I = 358
hkl 1 -1 0, d = 4.209 Å, I = 346

a = 4.9711 Å, b = 7.7931 Å, c = 7.8578 Å
α = 96.44°, β = 94.01°, γ = 90.53°
Space group P1 (No. 1)
Asymmetric unit:
Co 0.0000 0.0000 0.0000
Co 0.1109 0.8976 0.3733
Co 0.4834 0.4482 0.5589
P 0.0022 0.6783 0.7024
P 0.4826 0.1748 0.8468
P 0.5093 0.8182 0.1577
P 0.9863 0.2795 0.3270
O 0.0199 0.1225 0.4321
O 0.0389 0.7735 0.8913
O 0.0703 0.8065 0.5762
O 0.1772 0.5186 0.6941
O 0.1810 0.1115 0.8401
O 0.2435 0.3956 0.3610
O 0.3146 0.9774 0.1478
O 0.4322 0.7606 0.3313
O 0.4678 0.6876 0.9986
O 0.5252 0.3158 0.0026
O 0.5331 0.2418 0.6750
O 0.6690 0.0204 0.8730
O 0.6998 0.6259 0.6726
O 0.7508 0.3904 0.3829
O 0.8159 0.8802 0.1784
O 0.9487 0.2185 0.1301



[8]
The following is a computed powder diffraction line list of CoP3O9. It was derived from the PBE+U geometry in Alexandria, using CuKα.
Lines closer than 0.1° are merged.

Largest 10 diffraction maxima, by intensity, 10° ≤ 2θ ≤ 90°:
hkl 0 0 2, d = 6.460 Å, I = 1000
hkl 0 2 1, d = 5.408 Å, I = 404
hkl 0 2 0, d = 5.955 Å, I = 325
hkl 1 0 2, d = 4.008 Å, I = 276
hkl 1 2 1, d = 3.715 Å, I = 266
hkl 1 0 4, d = 2.730 Å, I = 233
hkl 1 2 2, d = 3.325 Å, I = 180
hkl 0 4 2, d = 2.704 Å, I = 146
hkl 1 1 0, d = 4.697 Å, I = 126
hkl 1 1 2, d = 3.799 Å, I = 125

a = 5.1109 Å, b = 11.9107 Å, c = 12.9202 Å
α = 90.00°, β = 90.00°, γ = 90.00°
Space group Pbcm (No. 57)
Asymmetric unit:
Co 0.0000 0.0000 0.0000
P 0.2420 0.2500 0.0000
P 0.4938 0.5823 0.1314
O 0.0899 0.1543 0.5464
O 0.2048 0.5605 0.1190
O 0.3196 0.5046 0.5902
O 0.4415 0.2053 0.0866
O 0.4438 0.1060 0.2500



[9]
The following is a computed powder diffraction line list of Co3P4O14. It was derived from the PBE+U geometry in Alexandria, using CuKα.
Lines closer than 0.1° are merged.

Largest 10 diffraction maxima, by intensity, 10° ≤ 2θ ≤ 90°:
hkl 0 1 0, d = 6.853 Å, I = 1000
hkl 1 -1 1, d = 3.759 Å, I = 731
hkl 0 1 -1, d = 4.769 Å, I = 619
hkl 0 1 2, d = 3.342 Å, I = 399
hkl 2 1 0, d = 2.719 Å, I = 391
hkl 1 2 2, d = 2.757 Å, I = 236
hkl 0 0 1, d = 7.267 Å, I = 159
hkl 1 1 2, d = 3.449 Å, I = 140
hkl 1 2 0, d = 3.154 Å, I = 140
hkl 1 0 2, d = 3.558 Å, I = 128

a = 5.9002 Å, b = 7.0297 Å, c = 7.6982 Å
α = 81.31°, β = 71.47°, γ = 78.29°
Space group P-1 (No. 2)
Asymmetric unit:
Co 0.0000 0.0000 0.0000
Co 0.2461 0.4516 0.3302
P 0.2225 0.6815 0.6960
P 0.3685 0.3146 0.9169
O 0.0828 0.6004 0.5854
O 0.0927 0.8741 0.7650
O 0.2156 0.5265 0.8737
O 0.2577 0.1578 0.8762
O 0.3539 0.3055 0.1203
O 0.3671 0.6824 0.2090
O 0.4889 0.6722 0.5793